Starting from the PBE+U geometry in Alexandria, the powder XRD pattern of Na6Cr2B4SO16 was simulated for Cu Kα, 1.54184 Å.
Lines closer than 0.1° are merged.

Largest 10 diffraction maxima, by intensity, 2θ = 10–90°:
2θ (°), I_rel, (hkl)
21.09, 100, 3 1 1
33.33, 80, 5 1 1
36.38, 57, 4 4 0
10.97, 37, 1 1 1
57.10, 25, 5 5 5
46.42, 24, 7 1 1
22.04, 21, 2 2 2
65.46, 16, 8 4 4
52.39, 15, 8 0 0
38.11, 15, 5 3 1

Structural model:
a = 13.9704 Å, b = 13.9704 Å, c = 13.9704 Å
α = 90.00°, β = 90.00°, γ = 90.00°
Space group Fd-3 (No. 203, origin choice 2)
Inequivalent atoms, fractional coordinates:
Na 0.0938 0.3750 0.3750 (multiplicity 48)
Cr 0.0000 0.0000 0.5000 (multiplicity 16)
B 0.0382 0.0382 0.7118 (multiplicity 32)
S 0.1250 0.1250 0.1250 (multiplicity 8)
O 0.0211 0.2737 0.6137 (multiplicity 96)
O 0.0631 0.0631 0.0631 (multiplicity 32)